Record 1
For Na3Mg3In5, a GGA-PBE-relaxed structure gives the computed X-ray diffraction stick pattern in this record (Cu Kα).
Kinematic intensities with the Lorentz-polarization factor, no thermal factor.

Crystal structure
```
data_Na3Mg3In5
_cell_length_a 5.493
_cell_length_b 7.585
_cell_length_c 7.616
_cell_angle_alpha 107.06
_cell_angle_beta 105.38
_cell_angle_gamma 101.13
_symmetry_space_group_name_H-M 'P 1'
_symmetry_Int_Tables_number 1
loop_
_symmetry_equiv_pos_as_xyz
'x,y,z'
loop_
_atom_site_label
_atom_site_fract_x
_atom_site_fract_y
_atom_site_fract_z
Na1 0.000 0.000 0.000
Na2 0.096 0.824 0.370
Na3 0.239 0.453 0.082
Mg1 0.174 0.644 0.727
Mg2 0.751 0.341 0.279
Mg3 0.846 0.167 0.612
In1 0.301 0.295 0.463
In2 0.456 0.103 0.825
In3 0.540 0.894 0.170
In4 0.637 0.724 0.545
In5 0.714 0.546 0.899
```

Top 10 peaks for 2θ from 5° to 70°, by angle:
2θ (°)	Rel. int.	hkl
17.52	45	1 0 0
21.77	42	-1 1 1
24.48	23	0 1 -2
24.64	22	1 1 0
32.96	55	0 2 1
33.22	58	1 -1 2
33.57	100	1 2 -2
37.25	76	1 0 -3
41.42	27	2 1 0
64.76	18	0 5 -3

=====

Record 2
For K2TlPO4, a GGA-PBE-relaxed structure gives the computed X-ray diffraction stick pattern in this record (Cu Kα).
Kinematic intensities with the Lorentz-polarization factor, no thermal factor.

Crystal structure
```
data_K2TlPO4
_cell_length_a 8.328
_cell_length_b 6.024
_cell_length_c 5.774
_cell_angle_alpha 90.00
_cell_angle_beta 90.00
_cell_angle_gamma 90.00
_symmetry_space_group_name_H-M 'P m n 21'
_symmetry_Int_Tables_number 31
loop_
_symmetry_equiv_pos_as_xyz
'x,y,z'
'-x+1/2,-y,z+1/2'
'-x,y,z'
'x+1/2,-y,z+1/2'
loop_
_atom_site_label
_atom_site_fract_x
_atom_site_fract_y
_atom_site_fract_z
K1 0.240 0.237 0.000
Tl1 0.000 0.719 0.999
P1 0.000 0.188 0.499
O1 0.000 0.032 0.280
O2 0.000 0.036 0.722
O3 0.155 0.332 0.498
```

Top 10 peaks for 2θ from 5° to 70°, by angle:
2θ (°)	Rel. int.	hkl
18.18	34	1 1 0
18.70	37	1 0 1
21.32	60	0 1 1
29.66	23	0 2 0
30.34	100	2 1 1
30.98	27	0 0 2
35.30	21	1 2 1
36.15	17	1 1 2
43.43	33	0 2 2
54.71	18	2 1 3